TmZrSb: theoretical X-ray powder pattern (Cu Kα, 1.54184 Å), based on a PBE-relaxed structure.
Lines closer than 0.1° are merged.

Atomic structure:
a = 4.1976 Å, b = 4.1976 Å, c = 16.4761 Å
α = 90.00°, β = 90.00°, γ = 90.00°
Sites, in units of the cell vectors:
1 Tm 0.0000 0.5000 0.0000
2 Tm 0.0000 0.5000 0.5000
3 Tm 0.5000 0.0000 0.0000
4 Tm 0.5000 0.0000 0.5000
5 Zr 0.0000 0.0000 0.1802
6 Zr 0.0000 0.0000 0.8198
7 Zr 0.5000 0.5000 0.3198
8 Zr 0.5000 0.5000 0.6802
9 Sb 0.0000 0.0000 0.3589
10 Sb 0.0000 0.0000 0.6411
11 Sb 0.5000 0.5000 0.1411
12 Sb 0.5000 0.5000 0.8589

The 10 most intense peaks (2θ from 10° to 90°), in order of rising 2θ:
two_theta  I_rel  (hkl)
10.74  33  0 0 2
32.05  100  1 1 2
32.61  38  0 0 6
34.61  15  1 0 5
37.34  92  1 1 4
43.10  51  2 0 0
55.07  34  2 0 6
62.59  17  2 2 0
72.07  20  3 1 2
75.21  24  3 1 4